# 1
The following is a simulated powder diffractogram of NaPm4Pt3O12. It was derived from a crystal structure in Alexandria, relaxed with PBE, using λ = 1.5418 Å (Cu Kα).
Peak positions follow from Bragg's law for the DFT cell and can differ from measured ones.

Atomic structure:
Cell lengths 7.3402, 7.3402, 7.3402 Å; angles 109.47, 109.47, 109.47 degrees
Sites, in units of the cell vectors:
Na 0.0000 0.0000 0.0000
Pm 0.0000 0.0000 0.5000
Pm 0.0000 0.5000 0.0000
Pm 0.5000 0.0000 0.0000
Pm 0.5000 0.5000 0.5000
Pt 0.0000 0.5000 0.5000
Pt 0.5000 0.0000 0.5000
Pt 0.5000 0.5000 0.0000
O 0.1562 0.4835 0.3272
O 0.1562 0.8290 0.6728
O 0.1710 0.3272 0.8438
O 0.3272 0.1562 0.4835
O 0.3272 0.8438 0.1710
O 0.4835 0.3272 0.1562
O 0.5165 0.6728 0.8438
O 0.6728 0.1562 0.8290
O 0.6728 0.8438 0.5165
O 0.8290 0.6728 0.1562
O 0.8438 0.1710 0.3272
O 0.8438 0.5165 0.6728

The 8 most intense peaks (2θ from 10° to 90°), in order of rising 2θ:
d/Å, I/Imax
5.993, 129
3.460, 85
2.997, 1000
2.119, 206
1.730, 476
1.498, 129
1.340, 191
1.133, 217



# 2
The following is a simulated powder diffractogram of LiNpInO4. It was derived from a crystal structure in Alexandria, relaxed with PBE, using λ = 1.5418 Å (Cu Kα).
Peak positions follow from Bragg's law for the DFT cell and can differ from measured ones.

Atomic structure:
Cell lengths 5.8523, 5.8523, 7.0361 Å; angles 90.00, 90.00, 118.82 degrees
Sites, in units of the cell vectors:
Li 0.1661 0.8339 0.7500
Li 0.8339 0.1661 0.2500
Np 0.5000 0.5000 0.0000
Np 0.5000 0.5000 0.5000
In 0.1667 0.8333 0.2500
In 0.8333 0.1667 0.7500
O 0.2383 0.3105 0.2500
O 0.3105 0.2383 0.7500
O 0.3149 0.6851 0.5515
O 0.3149 0.6851 0.9485
O 0.6851 0.3149 0.0515
O 0.6851 0.3149 0.4485
O 0.6895 0.7617 0.2500
O 0.7617 0.6895 0.7500

The 8 most intense peaks (2θ from 10° to 90°), in order of rising 2θ:
d/Å, I/Imax
5.127, 797
5.038, 333
2.978, 381
2.926, 608
2.901, 1000
2.884, 325
2.072, 401
1.678, 303



# 3
The following is a simulated powder diffractogram of Dy3Ho8Th2. It was derived from a crystal structure in Alexandria, relaxed with PBE, using λ = 1.5418 Å (Cu Kα).
Peak positions follow from Bragg's law for the DFT cell and can differ from measured ones.

Atomic structure:
Cell lengths 6.1092, 7.6469, 18.5086 Å; angles 85.95, 80.87, 77.28 degrees
Sites, in units of the cell vectors:
Dy 0.0000 0.0000 0.0000
Dy 0.0000 0.0000 0.5000
Dy 0.3328 0.6852 0.2256
Dy 0.4299 0.2432 0.2913
Dy 0.5701 0.7568 0.7087
Dy 0.6672 0.3148 0.7744
Ho 0.9996 0.0203 0.3219
Ho 0.0004 0.9797 0.6781
Ho 0.1115 0.5561 0.0758
Ho 0.1142 0.5316 0.7396
Ho 0.2315 0.0948 0.8154
Ho 0.3341 0.6592 0.8877
Ho 0.3644 0.6464 0.5618
Ho 0.4459 0.2179 0.9630
Ho 0.4488 0.1808 0.6144
Ho 0.5512 0.8192 0.3856
Ho 0.5541 0.7821 0.0370
Ho 0.6356 0.3536 0.4382
Ho 0.6659 0.3408 0.1123
Ho 0.7685 0.9052 0.1846
Ho 0.8858 0.4684 0.2604
Ho 0.8885 0.4439 0.9242
Th 0.0911 0.5700 0.4142
Th 0.2209 0.1207 0.1464
Th 0.7791 0.8793 0.8536
Th 0.9089 0.4300 0.5858

The 8 most intense peaks (2θ from 10° to 90°), in order of rising 2θ:
d/Å, I/Imax
2.887, 1000
2.855, 976
2.571, 389
2.512, 335
2.386, 254
1.730, 226
1.543, 143
1.508, 139



# 4
The following is a simulated powder diffractogram of AcYTm3. It was derived from a crystal structure in Alexandria, relaxed with PBE, using λ = 1.5418 Å (Cu Kα).
Peak positions follow from Bragg's law for the DFT cell and can differ from measured ones.

Atomic structure:
Cell lengths 6.3222, 5.7660, 9.6611 Å; angles 90.00, 108.80, 90.00 degrees
Sites, in units of the cell vectors:
Ac 0.0699 0.2500 0.3029
Ac 0.9301 0.7500 0.6971
Y 0.1370 0.7500 0.0986
Y 0.8630 0.2500 0.9014
Tm 0.2775 0.2500 0.7070
Tm 0.3392 0.7500 0.5011
Tm 0.4657 0.2500 0.0954
Tm 0.5343 0.7500 0.9046
Tm 0.6608 0.2500 0.4989
Tm 0.7225 0.7500 0.2930

The 8 most intense peaks (2θ from 10° to 90°), in order of rising 2θ:
d/Å, I/Imax
3.160, 243
2.883, 368
2.776, 1000
2.771, 486
2.131, 236
1.830, 198
1.643, 315
1.524, 167



# 5
The following is a simulated powder diffractogram of SrIn4Cl6. It was derived from a crystal structure in Alexandria, relaxed with PBE, using λ = 1.5418 Å (Cu Kα).
Peak positions follow from Bragg's law for the DFT cell and can differ from measured ones.

Atomic structure:
Cell lengths 9.8650, 9.8650, 4.2157 Å; angles 90.00, 90.00, 120.00 degrees
Sites, in units of the cell vectors:
Sr 0.0000 0.0000 0.0000
In 0.2153 0.4305 0.5000
In 0.2153 0.7847 0.5000
In 0.5695 0.7847 0.5000
In 0.6667 0.3333 0.0000
Cl 0.0281 0.5141 0.0000
Cl 0.2418 0.1209 0.5000
Cl 0.4859 0.5141 0.0000
Cl 0.4859 0.9719 0.0000
Cl 0.8791 0.1209 0.5000
Cl 0.8791 0.7582 0.5000

The 8 most intense peaks (2θ from 10° to 90°), in order of rising 2θ:
d/Å, I/Imax
4.272, 343
3.781, 681
3.229, 491
3.205, 302
3.001, 554
2.848, 327
2.466, 251
2.360, 1000



# 6
The following is a simulated powder diffractogram of PmAlSiIr2. It was derived from a crystal structure in Alexandria, relaxed with PBE, using λ = 1.5418 Å (Cu Kα).
Peak positions follow from Bragg's law for the DFT cell and can differ from measured ones.

Atomic structure:
Cell lengths 6.4436, 6.4436, 7.2890 Å; angles 90.00, 90.00, 140.95 degrees
Sites, in units of the cell vectors:
Pm 0.0850 0.9150 0.7500
Pm 0.9150 0.0850 0.2500
Al 0.2115 0.7885 0.2500
Al 0.7885 0.2115 0.7500
Si 0.5000 0.5000 0.0000
Si 0.5000 0.5000 0.5000
Ir 0.3210 0.6790 0.5554
Ir 0.3210 0.6790 0.9446
Ir 0.6790 0.3210 0.0554
Ir 0.6790 0.3210 0.4446

The 8 most intense peaks (2θ from 10° to 90°), in order of rising 2θ:
d/Å, I/Imax
6.073, 543
3.547, 656
2.950, 755
2.712, 1000
2.293, 580
2.256, 497
2.154, 532
2.116, 563



# 7
The following is a simulated powder diffractogram of La3RhAu. It was derived from a crystal structure in Alexandria, relaxed with PBE, using λ = 1.5418 Å (Cu Kα).
Peak positions follow from Bragg's law for the DFT cell and can differ from measured ones.

Atomic structure:
Cell lengths 6.0059, 6.8380, 8.2597 Å; angles 71.31, 81.97, 64.92 degrees
Sites, in units of the cell vectors:
La 0.0505 0.1540 0.1454
La 0.3170 0.2084 0.6678
La 0.3835 0.4731 0.2276
La 0.6165 0.5269 0.7724
La 0.6830 0.7916 0.3322
La 0.9495 0.8460 0.8546
Rh 0.4200 0.8400 0.9694
Rh 0.5800 0.1600 0.0306
Au 0.1609 0.7516 0.5023
Au 0.8391 0.2484 0.4977

The 8 most intense peaks (2θ from 10° to 90°), in order of rising 2θ:
d/Å, I/Imax
2.964, 333
2.925, 1000
2.899, 413
2.795, 538
2.784, 561
2.679, 507
2.618, 434
2.374, 285



# 8
The following is a simulated powder diffractogram of Al3V5H2. It was derived from a crystal structure in Alexandria, relaxed with PBE, using λ = 1.5418 Å (Cu Kα).
Peak positions follow from Bragg's law for the DFT cell and can differ from measured ones.

Atomic structure:
Cell lengths 7.4873, 7.4873, 7.4873 Å; angles 130.16, 72.45, 131.04 degrees
Sites, in units of the cell vectors:
Al 0.1246 0.7242 0.8488
Al 0.2500 0.2500 0.0000
Al 0.3754 0.2242 0.5996
Al 0.6246 0.7758 0.4004
Al 0.7500 0.7500 0.0000
Al 0.8754 0.2758 0.1512
V 0.0033 0.2500 0.7533
V 0.1283 0.2770 0.4053
V 0.2500 0.7500 0.5000
V 0.3717 0.7770 0.1487
V 0.4967 0.2500 0.2467
V 0.5033 0.7500 0.7533
V 0.6283 0.2230 0.8513
V 0.7500 0.2500 0.5000
V 0.8717 0.7230 0.5947
V 0.9967 0.7500 0.2467
H 0.1744 0.0140 0.1883
H 0.3256 0.5140 0.8396
H 0.6744 0.4860 0.1604
H 0.8256 0.9860 0.8117

The 8 most intense peaks (2θ from 10° to 90°), in order of rising 2θ:
d/Å, I/Imax
3.569, 161
2.212, 1000
2.181, 963
2.164, 998
1.551, 161
1.275, 254
1.264, 289
1.247, 275



# 9
The following is a simulated powder diffractogram of Er3BiO7. It was derived from a crystal structure in Alexandria, relaxed with PBE, using λ = 1.5418 Å (Cu Kα).
Peak positions follow from Bragg's law for the DFT cell and can differ from measured ones.

Atomic structure:
Cell lengths 6.5231, 6.5231, 7.6179 Å; angles 90.00, 90.00, 109.48 degrees
Sites, in units of the cell vectors:
Er 0.0000 0.0000 0.0000
Er 0.0000 0.0000 0.5000
Er 0.0305 0.5025 0.7500
Er 0.4975 0.9695 0.7500
Er 0.5025 0.0305 0.2500
Er 0.9695 0.4975 0.2500
Bi 0.5000 0.5000 0.0000
Bi 0.5000 0.5000 0.5000
O 0.1323 0.8677 0.2500
O 0.1369 0.8631 0.7500
O 0.1605 0.4151 0.0303
O 0.1605 0.4151 0.4697
O 0.4105 0.5895 0.7500
O 0.4151 0.1605 0.5303
O 0.4151 0.1605 0.9697
O 0.5849 0.8395 0.0303
O 0.5849 0.8395 0.4697
O 0.5895 0.4105 0.2500
O 0.8395 0.5849 0.5303
O 0.8395 0.5849 0.9697
O 0.8631 0.1369 0.2500
O 0.8677 0.1323 0.7500

The 8 most intense peaks (2θ from 10° to 90°), in order of rising 2θ:
d/Å, I/Imax
3.098, 1000
3.075, 990
2.678, 491
2.663, 228
1.904, 165
1.888, 600
1.619, 306
1.609, 414



# 10
The following is a simulated powder diffractogram of RbC2I3N2. It was derived from a crystal structure in Alexandria, relaxed with PBE, using λ = 1.5418 Å (Cu Kα).
Peak positions follow from Bragg's law for the DFT cell and can differ from measured ones.

Atomic structure:
Cell lengths 7.5221, 16.2737, 4.6692 Å; angles 90.00, 90.00, 90.00 degrees
Sites, in units of the cell vectors:
Rb 0.2500 0.2500 0.1332
Rb 0.7500 0.7500 0.8668
C 0.2500 0.0558 0.6869
C 0.2500 0.4442 0.6869
C 0.7500 0.5558 0.3131
C 0.7500 0.9442 0.3131
I 0.2500 0.5660 0.8132
I 0.2500 0.7500 0.0668
I 0.2500 0.9340 0.8132
I 0.7500 0.0660 0.1868
I 0.7500 0.2500 0.9332
I 0.7500 0.4340 0.1868
N 0.2500 0.1254 0.6212
N 0.2500 0.3746 0.6212
N 0.7500 0.6254 0.3788
N 0.7500 0.8746 0.3788

The 8 most intense peaks (2θ from 10° to 90°), in order of rising 2θ:
d/Å, I/Imax
6.828, 322
4.669, 327
3.761, 921
3.566, 1000
2.987, 247
2.712, 258
2.200, 279
2.150, 247



# 11
The following is a simulated powder diffractogram of Zr2Nb13. It was derived from a crystal structure in Alexandria, relaxed with PBE, using λ = 1.5418 Å (Cu Kα).
Peak positions follow from Bragg's law for the DFT cell and can differ from measured ones.

Atomic structure:
Cell lengths 8.3781, 8.3781, 8.3781 Å; angles 52.49, 52.49, 52.49 degrees
Sites, in units of the cell vectors:
Zr 0.1345 0.1345 0.1345
Zr 0.8655 0.8655 0.8655
Nb 0.0000 0.0000 0.0000
Nb 0.1248 0.1248 0.5015
Nb 0.1248 0.5015 0.1248
Nb 0.2465 0.2465 0.6433
Nb 0.2465 0.6433 0.2465
Nb 0.3567 0.7535 0.7535
Nb 0.4985 0.8752 0.8752
Nb 0.5015 0.1248 0.1248
Nb 0.6433 0.2465 0.2465
Nb 0.7535 0.3567 0.7535
Nb 0.7535 0.7535 0.3567
Nb 0.8752 0.4985 0.8752
Nb 0.8752 0.8752 0.4985

The 8 most intense peaks (2θ from 10° to 90°), in order of rising 2θ:
d/Å, I/Imax
7.204, 426
6.152, 309
2.490, 489
2.410, 1000
2.367, 417
2.225, 787
1.839, 264
1.293, 303



# 12
The following is a simulated powder diffractogram of LiS3O9. It was derived from a crystal structure in Alexandria, relaxed with PBE, using λ = 1.5418 Å (Cu Kα).
Peak positions follow from Bragg's law for the DFT cell and can differ from measured ones.

Atomic structure:
Cell lengths 7.9663, 7.9663, 10.5261 Å; angles 125.95, 125.95, 50.77 degrees
Sites, in units of the cell vectors:
Li 0.2180 0.7820 0.5000
Li 0.7820 0.2180 0.0000
S 0.0018 0.1999 0.8114
S 0.1999 0.0018 0.3114
S 0.1998 0.4481 0.5713
S 0.4481 0.1998 0.0713
S 0.6084 0.8079 0.1995
S 0.8079 0.6084 0.6995
O 0.0412 0.1330 0.2009
O 0.1056 0.9320 0.3461
O 0.1330 0.0412 0.7009
O 0.1569 0.3220 0.9910
O 0.2186 0.5176 0.4818
O 0.3220 0.1569 0.4910
O 0.3321 0.4866 0.7453
O 0.4071 0.7944 0.2632
O 0.4866 0.3321 0.2453
O 0.5176 0.2186 0.9818
O 0.5190 0.9508 0.0229
O 0.5649 0.7112 0.6063
O 0.7112 0.5649 0.1063
O 0.7513 0.9083 0.3586
O 0.7944 0.4071 0.7632
O 0.9083 0.7513 0.8586
O 0.9320 0.1056 0.8461
O 0.9508 0.5190 0.5229

The 8 most intense peaks (2θ from 10° to 90°), in order of rising 2θ:
d/Å, I/Imax
5.471, 288
5.233, 229
4.074, 925
3.998, 653
3.779, 1000
3.217, 308
3.085, 446
2.268, 199